(1)
This entry pairs a crystal structure of MgV3SnO8 with its calculated powder diffractogram. Radiation: Cu Kα, 1.54184 Å. Structure: a DFT-relaxed cell (PBE+U, the Materials Project).

Principal peaks in the range 2θ from 10° to 90°, in order of falling intensity:
- (2 0 0), 2θ 14.6, intensity 1000
- (1 1 0), 2θ 23.7, intensity 950
- (0 0 1), 2θ 13.3, intensity 562
- (1 1 1), 2θ 28.3, intensity 521
- (0 2 0), 2θ 45.9, intensity 465
- (0 0 3), 2θ 40.7, intensity 425
- (0 0 2), 2θ 26.8, intensity 408
- (4 0 -1), 2θ 28.7, intensity 384
- (6 0 -1), 2θ 42.9, intensity 340
- (3 1 0), 2θ 31.6, intensity 276
- (7 1 -1), 2θ 56.0, intensity 261
- (0 2 3), 2θ 63.0, intensity 250

Atomic structure:
Unit cell a=12.6450 b=3.9527 c=6.9255 alpha=90.00 beta=106.33 gamma=90.00
Space group Cm (No. 8)
Symmetry-distinct sites (fractional):
1 Mg 0.0000 0.0000 0.0000 (multiplicity 2)
2 V 0.0773 0.5000 0.3414 (multiplicity 2)
3 V 0.2811 0.5000 0.7076 (multiplicity 2)
4 V 0.4750 0.0000 0.7017 (multiplicity 2)
5 Sn 0.3673 0.5000 0.2976 (multiplicity 2)
6 O 0.0344 0.5000 0.9945 (multiplicity 2)
7 O 0.0373 0.0000 0.2996 (multiplicity 2)
8 O 0.1098 0.5000 0.6435 (multiplicity 2)
9 O 0.2352 0.5000 0.3973 (multiplicity 2)
10 O 0.3188 0.0000 0.6928 (multiplicity 2)
11 O 0.3373 0.5000 0.0025 (multiplicity 2)
12 O 0.4156 0.0000 0.3759 (multiplicity 2)
13 O 0.4491 0.5000 0.6892 (multiplicity 2)

(2)
This entry pairs a crystal structure of MgV4SnO12 with its calculated powder diffractogram. Radiation: Cu Kα, 1.54184 Å. Structure: a DFT-relaxed cell (PBE+U, the Materials Project).

Principal peaks in the range 2θ from 10° to 90°, in order of falling intensity:
- (2 2 -1), 2θ 27.8, intensity 1000
- (1 1 0), 2θ 13.2, intensity 635
- (3 1 0), 2θ 28.4, intensity 627
- (1 1 -1), 2θ 18.5, intensity 422
- (0 0 2), 2θ 33.2, intensity 415
- (1 1 1), 2θ 23.6, intensity 355
- (2 2 -3), 2θ 51.6, intensity 327
- (0 2 1), 2θ 25.9, intensity 320
- (0 2 0), 2θ 19.8, intensity 223
- (2 2 1), 2θ 34.8, intensity 205
- (5 3 -1), 2θ 52.2, intensity 192
- (2 4 -1), 2θ 45.0, intensity 182

Atomic structure:
Unit cell a=10.8230 b=8.9556 c=5.7933 alpha=90.00 beta=111.40 gamma=90.00
Space group C2 (No. 5)
Symmetry-distinct sites (fractional):
1 Mg 0.0000 0.0000 0.0000 (multiplicity 2)
2 V 0.2049 0.6561 0.9626 (multiplicity 4)
3 V 0.2067 0.8606 0.4538 (multiplicity 4)
4 Sn 0.0000 0.1872 0.5000 (multiplicity 2)
5 O 0.1091 0.1364 0.8622 (multiplicity 4)
6 O 0.1234 0.3549 0.4596 (multiplicity 4)
7 O 0.1333 0.0394 0.3994 (multiplicity 4)
8 O 0.1348 0.7964 0.1437 (multiplicity 4)
9 O 0.1409 0.4929 0.9723 (multiplicity 4)
10 O 0.1522 0.7590 0.6523 (multiplicity 4)